Record 1
This entry pairs a crystal structure of RbCaTaSe4 with its computed powder XRD pattern. Radiation: Cu Kα, 1.54184 Å. Structure: a DFT-relaxed cell (GGA-PBE, Alexandria).

The 6 most intense peaks (15 to 90 degrees two-theta), low angle first:
2θ (°)  I/Imax
15.6  88
18.7  54
24.3  58
27.8  65
29.6  100
30.6  86

Cell and atoms:
a = 7.0125 Å, b = 7.3133 Å, c = 9.5187 Å
α = 90.00°, β = 107.64°, γ = 90.00°
Fractional coordinates of all 14 atoms:
Rb  0.2430  0.2500  0.4380
Rb  0.7570  0.7500  0.5620
Ca  0.2773  0.2500  0.9528
Ca  0.7227  0.7500  0.0472
Ta  0.2757  0.7500  0.1707
Ta  0.7243  0.2500  0.8293
Se  0.0689  0.7500  0.9202
Se  0.0713  0.7500  0.3336
Se  0.4957  0.5072  0.7877
Se  0.4957  0.9928  0.7877
Se  0.5043  0.0072  0.2123
Se  0.5043  0.4928  0.2123
Se  0.9287  0.2500  0.6664
Se  0.9311  0.2500  0.0798

Record 2
This entry pairs a crystal structure of Li3GaPb2 with its computed powder XRD pattern. Radiation: Cu Kα, 1.54184 Å. Structure: a DFT-relaxed cell (GGA-PBE, Alexandria).

The 6 most intense peaks (15 to 90 degrees two-theta), low angle first:
2θ (°)  I/Imax
24.7  100
26.4  85
26.5  84
36.4  85
36.5  84
45.8  42

Cell and atoms:
a = 4.7885 Å, b = 3.6090 Å, c = 7.4931 Å
α = 90.00°, β = 108.34°, γ = 90.00°
Fractional coordinates of all 6 atoms:
Li  0.0000  0.0000  0.0000
Li  0.3433  0.0000  0.6865
Li  0.6567  0.0000  0.3135
Ga  0.5000  0.5000  0.0000
Pb  0.1638  0.5000  0.3274
Pb  0.8362  0.5000  0.6726

Record 3
This entry pairs a crystal structure of HfTlSeO5 with its computed powder XRD pattern. Radiation: Cu Kα, 1.54184 Å. Structure: a DFT-relaxed cell (GGA-PBE, Alexandria).

The 6 most intense peaks (15 to 90 degrees two-theta), low angle first:
2θ (°)  I/Imax
23.8  100
27.6  94
31.8  84
32.2  96
32.8  68
44.2  34

Cell and atoms:
a = 5.9431 Å, b = 5.9431 Å, c = 7.8487 Å
α = 105.57°, β = 105.57°, γ = 102.13°
Fractional coordinates of all 16 atoms:
Hf  0.0000  0.5000  0.0000
Hf  0.5000  0.0000  0.5000
Tl  0.0513  0.9487  0.7500
Tl  0.9487  0.0513  0.2500
Se  0.4557  0.5443  0.7500
Se  0.5443  0.4557  0.2500
O  0.1838  0.2455  0.0646
O  0.2293  0.7707  0.2500
O  0.2455  0.1838  0.5646
O  0.2748  0.6116  0.8844
O  0.3884  0.7252  0.6156
O  0.6116  0.2748  0.3844
O  0.7252  0.3884  0.1156
O  0.7545  0.8162  0.4354
O  0.7707  0.2293  0.7500
O  0.8162  0.7545  0.9354

Record 4
This entry pairs a crystal structure of Pu3Al9Zn2 with its computed powder XRD pattern. Radiation: Cu Kα, 1.54184 Å. Structure: a DFT-relaxed cell (GGA-PBE, Alexandria).

The 6 most intense peaks (15 to 90 degrees two-theta), low angle first:
2θ (°)  I/Imax
17.7  50
22.3  90
23.5  45
33.8  38
34.7  42
35.0  100

Cell and atoms:
a = 8.2097 Å, b = 8.2097 Å, c = 8.2097 Å
α = 149.25°, β = 104.53°, γ = 83.67°
Fractional coordinates of all 14 atoms:
Pu  0.0000  0.0000  0.0000
Pu  0.3002  0.3002  0.0000
Pu  0.6998  0.6998  0.0000
Al  0.0198  0.6504  0.3694
Al  0.1386  0.8593  0.2793
Al  0.2810  0.6504  0.6306
Al  0.4200  0.1407  0.2793
Al  0.5000  0.0000  0.5000
Al  0.5800  0.8593  0.7207
Al  0.7190  0.3496  0.3694
Al  0.8614  0.1407  0.7207
Al  0.9802  0.3496  0.6306
Zn  0.3111  0.5000  0.8111
Zn  0.6889  0.5000  0.1889

Record 5
This entry pairs a crystal structure of Y2ThTl3Te6 with its computed powder XRD pattern. Radiation: Cu Kα, 1.54184 Å. Structure: a DFT-relaxed cell (GGA-PBE, Alexandria).

The 6 most intense peaks (15 to 90 degrees two-theta), low angle first:
2θ (°)  I/Imax
27.3  100
37.1  41
40.8  35
49.8  19
61.1  16
66.2  16

Cell and atoms:
a = 7.6661 Å, b = 7.6661 Å, c = 8.7090 Å
α = 98.44°, β = 98.44°, γ = 120.00°
Fractional coordinates of all 12 atoms:
Y  0.1668  0.8332  0.0000
Y  0.8332  0.1668  0.0000
Th  0.5000  0.5000  0.0000
Tl  0.0000  0.0000  0.5000
Tl  0.3339  0.6661  0.5000
Tl  0.6661  0.3339  0.5000
Te  0.0907  0.4271  0.7817
Te  0.2360  0.2360  0.2177
Te  0.4271  0.0907  0.7817
Te  0.5729  0.9093  0.2183
Te  0.7640  0.7640  0.7823
Te  0.9093  0.5729  0.2183

Record 6
This entry pairs a crystal structure of HgSbW with its computed powder XRD pattern. Radiation: Cu Kα, 1.54184 Å. Structure: a DFT-relaxed cell (GGA-PBE, Alexandria).

The 6 most intense peaks (15 to 90 degrees two-theta), low angle first:
2θ (°)  I/Imax
30.9  20
36.2  100
36.4  30
41.9  33
65.3  18
68.5  18

Cell and atoms:
a = 9.0377 Å, b = 8.8493 Å, c = 2.9738 Å
α = 84.03°, β = 76.87°, γ = 19.10°
Fractional coordinates of all 3 atoms:
Hg  0.0000  0.0000  0.0000
Sb  0.2716  0.2716  0.7284
W  0.6431  0.6431  0.3569

Record 7
This entry pairs a crystal structure of Pm6Dy2Y3 with its computed powder XRD pattern. Radiation: Cu Kα, 1.54184 Å. Structure: a DFT-relaxed cell (GGA-PBE, Alexandria).

The 6 most intense peaks (15 to 90 degrees two-theta), low angle first:
2θ (°)  I/Imax
30.3  100
30.5  33
35.2  67
50.5  24
50.7  24
60.1  42

Cell and atoms:
a = 32.3334 Å, b = 32.3334 Å, c = 32.3334 Å
α = 6.40°, β = 6.40°, γ = 6.40°
Fractional coordinates of all 11 atoms:
Pm  0.0908  0.0908  0.0908
Pm  0.1822  0.1822  0.1822
Pm  0.3636  0.3636  0.3636
Pm  0.6364  0.6364  0.6364
Pm  0.8178  0.8178  0.8178
Pm  0.9092  0.9092  0.9092
Dy  0.4543  0.4543  0.4543
Dy  0.5457  0.5457  0.5457
Y  0.0000  0.0000  0.0000
Y  0.2729  0.2729  0.2729
Y  0.7271  0.7271  0.7271

Record 8
This entry pairs a crystal structure of Li8Al3P5 with its computed powder XRD pattern. Radiation: Cu Kα, 1.54184 Å. Structure: a DFT-relaxed cell (GGA-PBE, Alexandria).

The 6 most intense peaks (15 to 90 degrees two-theta), low angle first:
2θ (°)  I/Imax
24.5  74
40.5  100
47.9  27
58.6  15
64.4  9
73.6  27

Cell and atoms:
a = 6.3042 Å, b = 6.3042 Å, c = 6.3042 Å
α = 90.00°, β = 90.00°, γ = 90.00°
Fractional coordinates of all 16 atoms:
Li  0.0000  0.0000  0.0000
Li  0.0000  0.5000  0.5000
Li  0.2597  0.2597  0.7403
Li  0.2597  0.7403  0.2597
Li  0.5000  0.0000  0.5000
Li  0.5000  0.5000  0.0000
Li  0.7403  0.2597  0.2597
Li  0.7403  0.7403  0.7403
Al  0.0000  0.0000  0.5000
Al  0.0000  0.5000  0.0000
Al  0.5000  0.0000  0.0000
P  0.2225  0.2225  0.2225
P  0.2225  0.7775  0.7775
P  0.5000  0.5000  0.5000
P  0.7775  0.2225  0.7775
P  0.7775  0.7775  0.2225

Record 9
This entry pairs a crystal structure of Ba8Hg2Au3 with its computed powder XRD pattern. Radiation: Cu Kα, 1.54184 Å. Structure: a DFT-relaxed cell (GGA-PBE, Alexandria).

The 6 most intense peaks (15 to 90 degrees two-theta), low angle first:
2θ (°)  I/Imax
18.8  11
30.8  100
31.0  20
44.2  15
54.7  15
55.0  16

Cell and atoms:
a = 10.0721 Å, b = 5.7757 Å, c = 10.1014 Å
α = 90.00°, β = 109.56°, γ = 90.00°
Fractional coordinates of all 13 atoms:
Ba  0.1173  0.0000  0.3846
Ba  0.1218  0.5000  0.8615
Ba  0.3625  0.5000  0.6232
Ba  0.3770  0.0000  0.1217
Ba  0.6230  0.0000  0.8783
Ba  0.6375  0.5000  0.3767
Ba  0.8782  0.5000  0.1385
Ba  0.8827  0.0000  0.6154
Hg  0.2564  0.5000  0.2435
Hg  0.7436  0.5000  0.7565
Au  0.0000  0.5000  0.5000
Au  0.2597  0.0000  0.7600
Au  0.7403  0.0000  0.2400

Record 10
This entry pairs a crystal structure of Ac5Tl4Ge with its computed powder XRD pattern. Radiation: Cu Kα, 1.54184 Å. Structure: a DFT-relaxed cell (GGA-PBE, Alexandria).

The 6 most intense peaks (15 to 90 degrees two-theta), low angle first:
2θ (°)  I/Imax
30.7  55
31.1  100
44.0  21
54.8  42
55.4  16
89.2  11

Cell and atoms:
a = 4.1147 Å, b = 4.1147 Å, c = 20.1637 Å
α = 90.00°, β = 90.00°, γ = 90.00°
Fractional coordinates of all 10 atoms:
Ac  0.0000  0.0000  0.0000
Ac  0.0000  0.0000  0.2070
Ac  0.0000  0.0000  0.4159
Ac  0.0000  0.0000  0.5841
Ac  0.0000  0.0000  0.7930
Tl  0.5000  0.5000  0.1032
Tl  0.5000  0.5000  0.3082
Tl  0.5000  0.5000  0.6918
Tl  0.5000  0.5000  0.8968
Ge  0.5000  0.5000  0.5000

Record 11
This entry pairs a crystal structure of Na6InHg23 with its computed powder XRD pattern. Radiation: Cu Kα, 1.54184 Å. Structure: a DFT-relaxed cell (GGA-PBE, Alexandria).

The 6 most intense peaks (15 to 90 degrees two-theta), low angle first:
2θ (°)  I/Imax
21.0  19
24.3  12
34.7  100
49.8  18
62.1  35
83.5  15

Cell and atoms:
a = 10.3548 Å, b = 10.3548 Å, c = 10.3548 Å
α = 60.00°, β = 60.00°, γ = 60.00°
Fractional coordinates of all 30 atoms:
Na  0.2423  0.2423  0.7577
Na  0.2423  0.7577  0.2423
Na  0.2423  0.7577  0.7577
Na  0.7577  0.2423  0.2423
Na  0.7577  0.2423  0.7577
Na  0.7577  0.7577  0.2423
In  0.5000  0.5000  0.5000
Hg  0.0000  0.0000  0.0000
Hg  0.0000  0.0000  0.5000
Hg  0.0000  0.5000  0.0000
Hg  0.0000  0.5000  0.5000
Hg  0.1181  0.6273  0.6273
Hg  0.1338  0.1338  0.1338
Hg  0.1338  0.1338  0.5987
Hg  0.1338  0.5987  0.1338
Hg  0.3727  0.3727  0.3727
Hg  0.3727  0.3727  0.8819
Hg  0.3727  0.8819  0.3727
Hg  0.4013  0.8662  0.8662
Hg  0.5000  0.0000  0.0000
Hg  0.5000  0.0000  0.5000
Hg  0.5000  0.5000  0.0000
Hg  0.5987  0.1338  0.1338
Hg  0.6273  0.1181  0.6273
Hg  0.6273  0.6273  0.1181
Hg  0.6273  0.6273  0.6273
Hg  0.8662  0.4013  0.8662
Hg  0.8662  0.8662  0.4013
Hg  0.8662  0.8662  0.8662
Hg  0.8819  0.3727  0.3727

Record 12
This entry pairs a crystal structure of NaAl11 with its computed powder XRD pattern. Radiation: Cu Kα, 1.54184 Å. Structure: a DFT-relaxed cell (GGA-PBE, Alexandria).

The 6 most intense peaks (15 to 90 degrees two-theta), low angle first:
2θ (°)  I/Imax
35.5  82
36.1  63
37.9  30
41.4  35
42.5  100
44.1  40

Cell and atoms:
a = 8.6615 Å, b = 8.6615 Å, c = 8.6615 Å
α = 100.18°, β = 100.18°, γ = 130.28°
Fractional coordinates of all 24 atoms:
Na  0.3750  0.6250  0.7500
Na  0.6250  0.3750  0.2500
Al  0.0000  0.0000  0.0000
Al  0.0000  0.0000  0.5000
Al  0.0000  0.5000  0.0000
Al  0.1250  0.8750  0.2500
Al  0.1330  0.5548  0.3333
Al  0.1330  0.7997  0.5782
Al  0.2003  0.2785  0.3333
Al  0.2003  0.8670  0.9218
Al  0.2785  0.2003  0.8333
Al  0.2785  0.4452  0.0782
Al  0.4452  0.2785  0.5782
Al  0.4452  0.8670  0.1667
Al  0.5000  0.0000  0.5000
Al  0.5548  0.1330  0.8333
Al  0.5548  0.7215  0.4218
Al  0.7215  0.5548  0.9218
Al  0.7215  0.7997  0.1667
Al  0.7997  0.1330  0.0782
Al  0.7997  0.7215  0.6667
Al  0.8670  0.2003  0.4218
Al  0.8670  0.4452  0.6667
Al  0.8750  0.1250  0.7500